# 1
Theoretical powder diffractogram
Compound: Sn2Se2Br
Radiation: λ = 1.5418 Å (Cu Kα)
Structure: a crystal structure in Alexandria, relaxed with PBE

Crystal structure
Lattice parameters (Å, degrees): 4.169 5.775 12.783 90.00 90.00 90.00
Fractional coordinates of all 10 atoms:
Sn1 0.250 0.250 0.097
Sn2 0.250 0.250 0.742
Sn3 0.750 0.750 0.258
Sn4 0.750 0.750 0.903
Se1 0.250 0.750 0.085
Se2 0.250 0.750 0.752
Se3 0.750 0.250 0.248
Se4 0.750 0.250 0.915
Br1 0.250 0.750 0.409
Br2 0.750 0.250 0.591

Top 8 peaks for 10° ≤ 2θ ≤ 80°, sorted by position:
20.73°, 4.285 Å, intensity 181
29.98°, 2.980 Å, intensity 1000
30.97°, 2.887 Å, intensity 452
42.43°, 2.131 Å, intensity 172
43.41°, 2.085 Å, intensity 179
43.65°, 2.074 Å, intensity 686
53.45°, 1.714 Å, intensity 175
54.28°, 1.690 Å, intensity 186

=====

# 2
Theoretical powder diffractogram
Compound: Sn4Se4Br
Radiation: λ = 1.5418 Å (Cu Kα)
Structure: a crystal structure in Alexandria, relaxed with PBE

Crystal structure
Lattice parameters (Å, degrees): 7.395 7.395 7.395 99.19 99.19 132.90
Fractional coordinates of all 9 atoms:
Sn1 0.093 0.686 0.779
Sn2 0.314 0.093 0.407
Sn3 0.686 0.907 0.593
Sn4 0.907 0.314 0.221
Se1 0.190 0.401 0.592
Se2 0.401 0.810 0.211
Se3 0.599 0.190 0.789
Se4 0.810 0.599 0.408
Br1 0.000 0.000 0.000

Top 8 peaks for 10° ≤ 2θ ≤ 80°, sorted by position:
13.06°, 6.779 Å, intensity 257
29.46°, 3.032 Å, intensity 1000
30.25°, 2.955 Å, intensity 482
42.15°, 2.144 Å, intensity 404
42.73°, 2.116 Å, intensity 729
52.76°, 1.735 Å, intensity 421
70.96°, 1.328 Å, intensity 169
77.45°, 1.232 Å, intensity 240

=====

# 3
Theoretical powder diffractogram
Compound: Sr6Te3Se2Br
Radiation: λ = 1.5418 Å (Cu Kα)
Structure: a crystal structure in Alexandria, relaxed with PBE

Crystal structure
Lattice parameters (Å, degrees): 10.271 10.271 9.194 102.46 102.46 25.92
Fractional coordinates of all 12 atoms:
Sr1 0.006 0.006 0.258
Sr2 0.329 0.329 0.902
Sr3 0.330 0.330 0.425
Sr4 0.670 0.670 0.575
Sr5 0.671 0.671 0.098
Sr6 0.994 0.994 0.742
Te1 0.162 0.162 0.835
Te2 0.500 0.500 0.500
Te3 0.838 0.838 0.165
Se1 0.167 0.167 0.332
Se2 0.833 0.833 0.668
Br1 0.500 0.500 0.000

Top 8 peaks for 10° ≤ 2θ ≤ 80°, sorted by position:
27.41°, 3.254 Å, intensity 1000
39.06°, 2.306 Å, intensity 381
39.25°, 2.295 Å, intensity 373
48.42°, 1.880 Å, intensity 136
56.57°, 1.627 Å, intensity 124
63.81°, 1.459 Å, intensity 112
64.15°, 1.452 Å, intensity 110
70.78°, 1.331 Å, intensity 83